[1]
Structure and calculated powder diffraction line list of CaTcBr6 (a PBE-relaxed structure; Cu Kα (λ = 1.5418 Å)).
Neutral-atom scattering factors, no anomalous dispersion.

Peak list (10 most intense, 2θ = 10–90°, sorted by position)
Position (°2θ), Rel. int.
13.79, 73.9
15.31, 20.6
17.60, 41.9
26.44, 41.6
27.50, 19.8
27.67, 20.1
30.59, 100.0
32.68, 46.0
45.26, 47.0
45.47, 30.3

a = 7.259 Å, b = 7.259 Å, c = 6.769 Å
α = 98.19°, β = 98.19°, γ = 124.06°
Positions (direct):
Ca (0.000, 0.000, 0.000)
Tc (0.500, 0.500, 0.500)
Br (0.139, 0.425, 0.275)
Br (0.266, 0.266, 0.725)
Br (0.425, 0.139, 0.275)
Br (0.575, 0.861, 0.725)
Br (0.734, 0.734, 0.275)
Br (0.861, 0.575, 0.725)

***

[2]
Structure and calculated powder diffraction line list of Sm6Dy2Er3 (a PBE-relaxed structure; Cu Kα (λ = 1.5418 Å)).
Neutral-atom scattering factors, no anomalous dispersion.

Peak list (10 most intense, 2θ = 10–90°, sorted by position)
Position (°2θ), Rel. int.
29.41, 10.0
31.30, 80.3
31.55, 100.0
45.04, 29.6
55.55, 7.2
56.03, 31.1
56.18, 19.6
59.91, 10.3
65.88, 12.1
74.74, 13.2

a = 13.294 Å, b = 13.294 Å, c = 13.294 Å
α = 24.63°, β = 24.63°, γ = 24.63°
Positions (direct):
Sm (0.090, 0.090, 0.090)
Sm (0.187, 0.187, 0.187)
Sm (0.374, 0.374, 0.374)
Sm (0.626, 0.626, 0.626)
Sm (0.813, 0.813, 0.813)
Sm (0.910, 0.910, 0.910)
Dy (0.459, 0.459, 0.459)
Dy (0.541, 0.541, 0.541)
Er (0.000, 0.000, 0.000)
Er (0.283, 0.283, 0.283)
Er (0.717, 0.717, 0.717)